[1]
The following is a computed XRD peak list of Dy2HoErTe5. It was derived from a crystal structure in Alexandria, relaxed with PBE, using λ = 1.5418 Å (Cu Kα).
Intensities are scaled so that the largest is 100.

Atomic structure:
```
data_Dy2HoErTe5
_cell_length_a 5.5269
_cell_length_b 5.5269
_cell_length_c 11.4599
_cell_angle_alpha 90.00
_cell_angle_beta 90.00
_cell_angle_gamma 90.00
_space_group_name_H-M_alt 'P 1'
_space_group_IT_number 1
loop_
_space_group_symop_operation_xyz
'x,y,z'
loop_
_atom_site_label
_atom_site_type_symbol
_atom_site_fract_x
_atom_site_fract_y
_atom_site_fract_z
Dy1 Dy 0.0000 0.0000 0.1520
Dy2 Dy 0.0000 0.0000 0.8480
Ho1 Ho 0.5000 0.5000 0.0000
Er1 Er 0.5000 0.5000 0.5000
Te1 Te 0.0000 0.0000 0.5000
Te2 Te 0.0000 0.5000 0.0000
Te3 Te 0.5000 0.0000 0.0000
Te4 Te 0.5000 0.5000 0.2546
Te5 Te 0.5000 0.5000 0.7454
```

Main lines, in order of rising 2θ (10° ≤ 2θ ≤ 90°):
2θ/deg	I_rel
15.46	22
22.75	91
28.40	36
32.40	100
32.78	53
35.29	48
43.62	22
45.61	23
46.47	37
48.65	39
52.35	19
58.03	20

[2]
The following is a computed XRD peak list of Dy2HoEr4Th. It was derived from a crystal structure in Alexandria, relaxed with PBE, using λ = 1.5418 Å (Cu Kα).
Intensities are scaled so that the largest is 100.

Atomic structure:
```
data_Dy2HoEr4Th
_cell_length_a 4.9984
_cell_length_b 5.0098
_cell_length_c 9.9258
_cell_angle_alpha 90.00
_cell_angle_beta 90.04
_cell_angle_gamma 90.00
_space_group_name_H-M_alt 'P 1'
_space_group_IT_number 1
loop_
_space_group_symop_operation_xyz
'x,y,z'
loop_
_atom_site_label
_atom_site_type_symbol
_atom_site_fract_x
_atom_site_fract_y
_atom_site_fract_z
Dy1 Dy 0.0000 0.0000 0.0000
Dy2 Dy 0.5000 0.5000 0.5000
Ho1 Ho 0.0000 0.0000 0.5000
Er1 Er 0.9999 0.5000 0.2487
Er2 Er 0.0001 0.5000 0.7513
Er3 Er 0.5000 0.0000 0.2482
Er4 Er 0.5000 0.0000 0.7518
Th1 Th 0.5000 0.5000 0.0000
```

Main lines, in order of rising 2θ (10° ≤ 2θ ≤ 90°):
2θ/deg	I_rel
31.04	100
35.89	34
36.20	17
51.66	12
51.90	24
61.45	14
61.56	14
61.92	14
64.71	12
84.41	6
84.75	9
87.17	6

[3]
The following is a computed XRD peak list of Dy2HoEr2Th. It was derived from a crystal structure in Alexandria, relaxed with PBE, using λ = 1.5418 Å (Cu Kα).
Intensities are scaled so that the largest is 100.

Atomic structure:
```
data_Dy2HoEr2Th
_cell_length_a 6.4811
_cell_length_b 6.9631
_cell_length_c 8.7144
_cell_angle_alpha 90.00
_cell_angle_beta 103.39
_cell_angle_gamma 90.00
_space_group_name_H-M_alt 'P 1'
_space_group_IT_number 1
loop_
_space_group_symop_operation_xyz
'x,y,z'
loop_
_atom_site_label
_atom_site_type_symbol
_atom_site_fract_x
_atom_site_fract_y
_atom_site_fract_z
Dy1 Dy 0.1163 0.2500 0.3470
Dy2 Dy 0.2439 0.7500 0.9969
Dy3 Dy 0.7561 0.2500 0.0031
Dy4 Dy 0.8837 0.7500 0.6530
Ho1 Ho 0.2664 0.2500 0.9913
Ho2 Ho 0.7336 0.7500 0.0087
Er1 Er 0.4043 0.9998 0.6820
Er2 Er 0.4043 0.5002 0.6820
Er3 Er 0.5957 0.0002 0.3180
Er4 Er 0.5957 0.4998 0.3180
Th1 Th 0.1322 0.7500 0.3452
Th2 Th 0.8678 0.2500 0.6548
```

Main lines, in order of rising 2θ (10° ≤ 2θ ≤ 90°):
2θ/deg	I_rel
29.30	67
31.19	100
31.66	100
32.31	80
32.51	85
33.30	28
34.26	79
41.09	37
49.67	31
52.57	26
62.40	30
62.68	29

[4]
The following is a computed XRD peak list of Dy6Ho2ErTh. It was derived from a crystal structure in Alexandria, relaxed with PBE, using λ = 1.5418 Å (Cu Kα).
Intensities are scaled so that the largest is 100.

Atomic structure:
```
data_Dy6Ho2ErTh
_cell_length_a 8.7868
_cell_length_b 8.7868
_cell_length_c 9.2590
_cell_angle_alpha 92.46
_cell_angle_beta 92.46
_cell_angle_gamma 116.46
_space_group_name_H-M_alt 'P 1'
_space_group_IT_number 1
loop_
_space_group_symop_operation_xyz
'x,y,z'
loop_
_atom_site_label
_atom_site_type_symbol
_atom_site_fract_x
_atom_site_fract_y
_atom_site_fract_z
Dy1 Dy 0.0094 0.5672 0.1871
Dy2 Dy 0.1207 0.7681 0.5596
Dy3 Dy 0.2319 0.8793 0.9404
Dy4 Dy 0.2877 0.5187 0.3896
Dy5 Dy 0.4328 0.9906 0.3129
Dy6 Dy 0.4813 0.7123 0.1104
Dy7 Dy 0.5187 0.2877 0.8896
Dy8 Dy 0.5672 0.0094 0.6871
Dy9 Dy 0.7123 0.4813 0.6104
Dy10 Dy 0.7681 0.1207 0.0596
Dy11 Dy 0.8793 0.2319 0.4404
Dy12 Dy 0.9906 0.4328 0.8129
Ho1 Ho 0.2027 0.3065 0.0548
Ho2 Ho 0.3065 0.2027 0.5548
Ho3 Ho 0.6935 0.7973 0.4452
Ho4 Ho 0.7973 0.6935 0.9452
Er1 Er 0.4130 0.5870 0.7500
Er2 Er 0.5870 0.4130 0.2500
Th1 Th 0.0341 0.9659 0.2500
Th2 Th 0.9659 0.0341 0.7500
```

Main lines, in order of rising 2θ (10° ≤ 2θ ≤ 90°):
2θ/deg	I_rel
28.63	49
28.83	26
30.48	64
30.80	18
30.92	66
31.46	100
31.84	45
32.76	41
34.99	32
35.82	16
53.65	20
62.06	16

[5]
The following is a computed XRD peak list of Dy2Ho6ErTm. It was derived from a crystal structure in Alexandria, relaxed with PBE, using λ = 1.5418 Å (Cu Kα).
Intensities are scaled so that the largest is 100.

Atomic structure:
```
data_Dy2Ho6ErTm
_cell_length_a 8.6754
_cell_length_b 8.6754
_cell_length_c 9.4765
_cell_angle_alpha 94.12
_cell_angle_beta 94.12
_cell_angle_gamma 118.00
_space_group_name_H-M_alt 'P 1'
_space_group_IT_number 1
loop_
_space_group_symop_operation_xyz
'x,y,z'
loop_
_atom_site_label
_atom_site_type_symbol
_atom_site_fract_x
_atom_site_fract_y
_atom_site_fract_z
Dy1 Dy 0.1965 0.3013 0.0438
Dy2 Dy 0.3013 0.1965 0.5438
Dy3 Dy 0.6987 0.8035 0.4562
Dy4 Dy 0.8035 0.6987 0.9562
Ho1 Ho 0.0187 0.5714 0.1857
Ho2 Ho 0.1251 0.7509 0.5562
Ho3 Ho 0.2491 0.8749 0.9438
Ho4 Ho 0.2903 0.5026 0.3801
Ho5 Ho 0.4286 0.9813 0.3143
Ho6 Ho 0.4974 0.7097 0.1199
Ho7 Ho 0.5026 0.2903 0.8801
Ho8 Ho 0.5714 0.0187 0.6857
Ho9 Ho 0.7097 0.4974 0.6199
Ho10 Ho 0.7509 0.1251 0.0562
Ho11 Ho 0.8749 0.2491 0.4438
Ho12 Ho 0.9813 0.4286 0.8143
Er1 Er 0.0221 0.9779 0.2500
Er2 Er 0.9779 0.0221 0.7500
Tm1 Tm 0.4085 0.5915 0.7500
Tm2 Tm 0.5915 0.4085 0.2500
```

Main lines, in order of rising 2θ (10° ≤ 2θ ≤ 90°):
2θ/deg	I_rel
28.39	16
29.02	37
31.05	100
31.74	46
32.02	98
32.76	19
34.21	46
34.89	14
38.76	17
51.53	12
54.30	11
57.38	14

[6]
The following is a computed XRD peak list of DyHo2Er4Tm. It was derived from a crystal structure in Alexandria, relaxed with PBE, using λ = 1.5418 Å (Cu Kα).
Intensities are scaled so that the largest is 100.

Atomic structure:
```
data_DyHo2Er4Tm
_cell_length_a 4.9513
_cell_length_b 4.9513
_cell_length_c 9.9224
_cell_angle_alpha 90.00
_cell_angle_beta 90.00
_cell_angle_gamma 90.00
_space_group_name_H-M_alt 'P 1'
_space_group_IT_number 1
loop_
_space_group_symop_operation_xyz
'x,y,z'
loop_
_atom_site_label
_atom_site_type_symbol
_atom_site_fract_x
_atom_site_fract_y
_atom_site_fract_z
Dy1 Dy 0.0000 0.0000 0.0000
Ho1 Ho 0.0000 0.0000 0.5000
Ho2 Ho 0.5000 0.5000 0.0000
Er1 Er 0.0000 0.5000 0.2508
Er2 Er 0.0000 0.5000 0.7492
Er3 Er 0.5000 0.0000 0.2508
Er4 Er 0.5000 0.0000 0.7492
Tm1 Tm 0.5000 0.5000 0.5000
```

Main lines, in order of rising 2θ (10° ≤ 2θ ≤ 90°):
2θ/deg	I_rel
31.27	100
36.26	51
52.22	36
62.07	14
62.17	28
65.23	12
76.86	2
77.04	4
85.41	18
88.09	6
88.24	11

[7]
The following is a computed XRD peak list of Dy4HoEr2Tm. It was derived from a crystal structure in Alexandria, relaxed with PBE, using λ = 1.5418 Å (Cu Kα).
Intensities are scaled so that the largest is 100.

Atomic structure:
```
data_Dy4HoEr2Tm
_cell_length_a 4.9675
_cell_length_b 4.9675
_cell_length_c 9.9485
_cell_angle_alpha 90.00
_cell_angle_beta 90.00
_cell_angle_gamma 90.00
_space_group_name_H-M_alt 'P 1'
_space_group_IT_number 1
loop_
_space_group_symop_operation_xyz
'x,y,z'
loop_
_atom_site_label
_atom_site_type_symbol
_atom_site_fract_x
_atom_site_fract_y
_atom_site_fract_z
Dy1 Dy 0.0000 0.5000 0.2494
Dy2 Dy 0.0000 0.5000 0.7506
Dy3 Dy 0.5000 0.0000 0.2494
Dy4 Dy 0.5000 0.0000 0.7506
Ho1 Ho 0.0000 0.0000 0.5000
Er1 Er 0.0000 0.0000 0.0000
Er2 Er 0.5000 0.5000 0.5000
Tm1 Tm 0.5000 0.5000 0.0000
```

Main lines, in order of rising 2θ (10° ≤ 2θ ≤ 90°):
2θ/deg	I_rel
31.17	100
36.15	51
52.05	36
61.93	43
65.01	12
76.62	2
76.75	4
85.09	18
87.83	11
87.90	6

[8]
The following is a computed XRD peak list of Dy2Y6Ho2Er. It was derived from a crystal structure in Alexandria, relaxed with PBE, using λ = 1.5418 Å (Cu Kα).
Intensities are scaled so that the largest is 100.

Atomic structure:
```
data_Dy2Y6Ho2Er
_cell_length_a 6.6383
_cell_length_b 6.6383
_cell_length_c 10.4847
_cell_angle_alpha 90.03
_cell_angle_beta 90.03
_cell_angle_gamma 129.61
_space_group_name_H-M_alt 'P 1'
_space_group_IT_number 1
loop_
_space_group_symop_operation_xyz
'x,y,z'
loop_
_atom_site_label
_atom_site_type_symbol
_atom_site_fract_x
_atom_site_fract_y
_atom_site_fract_z
Dy1 Dy 0.1343 0.8657 0.0000
Dy2 Dy 0.8657 0.1343 0.0000
Y1 Y 0.0007 0.0007 0.2947
Y2 Y 0.3468 0.6518 0.7948
Y3 Y 0.3482 0.6532 0.2052
Y4 Y 0.6518 0.3468 0.7948
Y5 Y 0.6532 0.3482 0.2052
Y6 Y 0.9993 0.9993 0.7053
Ho1 Ho 0.2063 0.7937 0.5000
Ho2 Ho 0.7937 0.2063 0.5000
Er1 Er 0.5000 0.5000 0.5000
```

Main lines, in order of rising 2θ (10° ≤ 2θ ≤ 90°):
2θ/deg	I_rel
16.91	11
19.31	9
30.98	56
31.66	39
32.28	100
34.21	19
44.88	18
47.30	15
53.28	11
56.77	27
62.49	21
63.32	15

[9]
The following is a computed XRD peak list of DyY2HoEr5. It was derived from a crystal structure in Alexandria, relaxed with PBE, using λ = 1.5418 Å (Cu Kα).
Intensities are scaled so that the largest is 100.

Atomic structure:
```
data_DyY2HoEr5
_cell_length_a 10.1964
_cell_length_b 10.1964
_cell_length_c 10.5447
_cell_angle_alpha 90.00
_cell_angle_beta 90.00
_cell_angle_gamma 148.31
_space_group_name_H-M_alt 'P 1'
_space_group_IT_number 1
loop_
_space_group_symop_operation_xyz
'x,y,z'
loop_
_atom_site_label
_atom_site_type_symbol
_atom_site_fract_x
_atom_site_fract_y
_atom_site_fract_z
Dy1 Dy 0.0858 0.9142 0.5000
Dy2 Dy 0.9142 0.0858 0.0000
Y1 Y 0.3869 0.6131 0.3616
Y2 Y 0.3904 0.6096 0.7784
Y3 Y 0.6096 0.3904 0.2784
Y4 Y 0.6131 0.3869 0.8616
Ho1 Ho 0.2987 0.7013 0.0529
Ho2 Ho 0.7013 0.2987 0.5529
Er1 Er 0.0205 0.9795 0.7802
Er2 Er 0.1088 0.8912 0.0643
Er3 Er 0.2004 0.7996 0.7505
Er4 Er 0.2172 0.7828 0.3500
Er5 Er 0.4803 0.5197 0.0676
Er6 Er 0.5197 0.4803 0.5676
Er7 Er 0.7828 0.2172 0.8500
Er8 Er 0.7996 0.2004 0.2505
Er9 Er 0.8912 0.1088 0.5643
Er10 Er 0.9795 0.0205 0.2802
```

Main lines, in order of rising 2θ (10° ≤ 2θ ≤ 90°):
2θ/deg	I_rel
28.58	19
30.42	36
32.15	41
32.68	100
33.11	8
34.01	14
43.55	12
47.50	11
51.57	10
57.65	21
60.54	14
62.08	12

[10]
The following is a computed XRD peak list of Dy2Y6Ho3Er. It was derived from a crystal structure in Alexandria, relaxed with PBE, using λ = 1.5418 Å (Cu Kα).
Intensities are scaled so that the largest is 100.

Atomic structure:
```
data_Dy2Y6Ho3Er
_cell_length_a 6.1441
_cell_length_b 6.1441
_cell_length_c 11.7682
_cell_angle_alpha 94.98
_cell_angle_beta 94.98
_cell_angle_gamma 119.94
_space_group_name_H-M_alt 'P 1'
_space_group_IT_number 1
loop_
_space_group_symop_operation_xyz
'x,y,z'
loop_
_atom_site_label
_atom_site_type_symbol
_atom_site_fract_x
_atom_site_fract_y
_atom_site_fract_z
Dy1 Dy 0.1666 0.8334 0.0000
Dy2 Dy 0.8334 0.1666 0.0000
Y1 Y 0.0832 0.4164 0.7498
Y2 Y 0.2503 0.2503 0.2502
Y3 Y 0.4164 0.0832 0.7498
Y4 Y 0.5836 0.9168 0.2502
Y5 Y 0.7497 0.7497 0.7498
Y6 Y 0.9168 0.5836 0.2502
Ho1 Ho 0.0000 0.0000 0.5000
Ho2 Ho 0.3335 0.6665 0.5000
Ho3 Ho 0.6665 0.3335 0.5000
Er1 Er 0.5000 0.5000 0.0000
```

Main lines, in order of rising 2θ (10° ≤ 2θ ≤ 90°):
2θ/deg	I_rel
15.29	10
29.52	7
30.86	100
35.79	50
39.12	3
51.51	35
61.26	42
64.30	12
75.87	4
84.08	17
86.78	13
86.85	3

[11]
The following is a computed XRD peak list of Dy5Y2HoEr. It was derived from a crystal structure in Alexandria, relaxed with PBE, using λ = 1.5418 Å (Cu Kα).
Intensities are scaled so that the largest is 100.

Atomic structure:
```
data_Dy5Y2HoEr
_cell_length_a 10.2743
_cell_length_b 10.2743
_cell_length_c 10.5724
_cell_angle_alpha 90.00
_cell_angle_beta 90.00
_cell_angle_gamma 148.44
_space_group_name_H-M_alt 'P 1'
_space_group_IT_number 1
loop_
_space_group_symop_operation_xyz
'x,y,z'
loop_
_atom_site_label
_atom_site_type_symbol
_atom_site_fract_x
_atom_site_fract_y
_atom_site_fract_z
Dy1 Dy 0.0192 0.9808 0.5000
Dy2 Dy 0.2825 0.7175 0.7836
Dy3 Dy 0.2997 0.7003 0.1831
Dy4 Dy 0.3910 0.6090 0.4984
Dy5 Dy 0.4798 0.5202 0.2154
Dy6 Dy 0.5202 0.4798 0.7154
Dy7 Dy 0.6090 0.3910 0.9984
Dy8 Dy 0.7003 0.2997 0.6831
Dy9 Dy 0.7175 0.2825 0.2836
Dy10 Dy 0.9808 0.0192 0.0000
Y1 Y 0.1096 0.8904 0.2129
Y2 Y 0.1137 0.8863 0.7942
Y3 Y 0.8863 0.1137 0.2942
Y4 Y 0.8904 0.1096 0.7129
Ho1 Ho 0.2007 0.7993 0.4863
Ho2 Ho 0.7993 0.2007 0.9863
Er1 Er 0.4126 0.5874 0.9350
Er2 Er 0.5874 0.4126 0.4350
```

Main lines, in order of rising 2θ (10° ≤ 2θ ≤ 90°):
2θ/deg	I_rel
28.37	18
30.32	34
32.03	41
32.50	100
33.92	14
43.31	11
45.90	8
47.34	11
51.34	10
57.39	21
60.11	13
61.81	11

[12]
The following is a computed XRD peak list of DyYHo3Er. It was derived from a crystal structure in Alexandria, relaxed with PBE, using λ = 1.5418 Å (Cu Kα).
Intensities are scaled so that the largest is 100.

Atomic structure:
```
data_DyYHo3Er
_cell_length_a 9.8286
_cell_length_b 9.8286
_cell_length_c 7.1298
_cell_angle_alpha 90.49
_cell_angle_beta 90.49
_cell_angle_gamma 33.64
_space_group_name_H-M_alt 'P 1'
_space_group_IT_number 1
loop_
_space_group_symop_operation_xyz
'x,y,z'
loop_
_atom_site_label
_atom_site_type_symbol
_atom_site_fract_x
_atom_site_fract_y
_atom_site_fract_z
Dy1 Dy 0.0454 0.0454 0.2548
Dy2 Dy 0.9546 0.9546 0.7452
Y1 Y 0.3524 0.3524 0.9659
Y2 Y 0.6476 0.6476 0.0341
Ho1 Ho 0.1662 0.1662 0.7428
Ho2 Ho 0.2171 0.2171 0.2498
Ho3 Ho 0.4781 0.4781 0.2566
Ho4 Ho 0.5219 0.5219 0.7434
Ho5 Ho 0.7829 0.7829 0.7502
Ho6 Ho 0.8338 0.8338 0.2572
Er1 Er 0.3514 0.3514 0.5401
Er2 Er 0.6486 0.6486 0.4599
```

Main lines, in order of rising 2θ (10° ≤ 2θ ≤ 90°):
2θ/deg	I_rel
24.98	38
28.46	30
29.97	34
31.05	77
31.23	81
31.45	100
31.63	22
32.81	58
33.01	57
36.99	37
40.57	26
61.39	23

> Number 9 is which compound?

DyY2HoEr5